# Ce3AuI3
Calculated X-ray powder pattern, Cu Kα X-rays. Input: a cell relaxed with GGA-PBE.

Atomic structure:
Cell: 10.894 10.894 10.894 Å, 109.47 109.47 109.47°
Positions (direct):
Ce 0.013 0.026 0.263
Ce 0.013 0.487 0.750
Ce 0.026 0.263 0.013
Ce 0.237 0.263 0.750
Ce 0.237 0.474 0.487
Ce 0.263 0.013 0.026
Ce 0.263 0.750 0.237
Ce 0.474 0.487 0.237
Ce 0.487 0.237 0.474
Ce 0.487 0.750 0.013
Ce 0.750 0.013 0.487
Ce 0.750 0.237 0.263
Au 0.000 0.250 0.500
Au 0.250 0.250 0.250
Au 0.250 0.500 0.000
Au 0.500 0.000 0.250
I 0.250 0.759 0.741
I 0.250 0.991 0.509
I 0.509 0.250 0.991
I 0.509 0.759 0.519
I 0.519 0.509 0.759
I 0.741 0.250 0.759
I 0.741 0.991 0.981
I 0.759 0.519 0.509
I 0.759 0.741 0.250
I 0.981 0.741 0.991
I 0.991 0.509 0.250
I 0.991 0.981 0.741

The 10 most intense peaks (2θ from 15° to 90°), in order of rising 2θ:
2theta, d/Å, I (rel.)
22.3, 3.978, 72
28.4, 3.145, 1000
36.4, 2.467, 77
40.6, 2.224, 731
50.2, 1.816, 250
53.5, 1.712, 56
58.7, 1.572, 112
66.5, 1.406, 295
73.8, 1.284, 209
87.8, 1.112, 63